[1]
Simulated powder XRD pattern
Compound: Er2Sn5Ru3
Radiation: copper Kα
Structure: a crystal structure in Alexandria, relaxed with PBE
Neutral-atom scattering factors, no anomalous dispersion.

Largest 12 diffraction maxima, sorted by position, 5 to 70 degrees two-theta:
(hkl)	d/Å	I (rel.)
0 6 2	2.790	10
1 7 1	2.671	67
1 3 2	2.660	100
0 10 1	2.490	25
1 9 0	2.452	22
0 4 3	2.255	17
2 0 0	2.209	47
1 9 2	2.026	13
2 10 1	1.652	14
2 4 3	1.578	12
1 13 3	1.466	19
3 3 2	1.347	20

Structure:
```
data_Er2Sn5Ru3
_chemical_formula_sum 'Er8 Sn20 Ru12'
_cell_length_a 4.418
_cell_length_b 26.536
_cell_length_c 7.193
_cell_angle_alpha 90.00
_cell_angle_beta 90.00
_cell_angle_gamma 90.00
_space_group_name_H-M_alt 'C m c 21'
_space_group_IT_number 36
loop_
_space_group_symop_operation_xyz
'x,y,z'
'-x,-y,z+1/2'
'-x,y,z'
'x,-y,z+1/2'
'x+1/2,y+1/2,z'
'-x+1/2,-y+1/2,z+1/2'
'-x+1/2,y+1/2,z'
'x+1/2,-y+1/2,z+1/2'
loop_
_atom_site_label
_atom_site_type_symbol
_atom_site_fract_x
_atom_site_fract_y
_atom_site_fract_z
_atom_site_occupancy
Er1 Er 0.000 0.023 0.000 1
Er2 Er 0.000 0.327 0.979 1
Sn1 Sn 0.000 0.097 0.629 1
Sn2 Sn 0.000 0.206 0.190 1
Sn3 Sn 0.000 0.209 0.761 1
Sn4 Sn 0.000 0.378 0.495 1
Sn5 Sn 0.000 0.451 0.832 1
Ru1 Ru 0.000 0.106 0.252 1
Ru2 Ru 0.000 0.276 0.473 1
Ru3 Ru 0.000 0.451 0.218 1
```

***

[2]
Simulated powder XRD pattern
Compound: Er3Sn2Ru
Radiation: copper Kα
Structure: a crystal structure in Alexandria, relaxed with PBE
Neutral-atom scattering factors, no anomalous dispersion.

Largest 12 diffraction maxima, sorted by position, 5 to 70 degrees two-theta:
(hkl)	d/Å	I (rel.)
3 0 2	3.345	27
2 1 2	3.014	56
3 1 1	2.890	25
0 1 3	2.859	100
1 0 4	2.784	24
4 0 2	2.721	46
3 1 2	2.647	49
2 0 4	2.593	26
4 1 1	2.459	72
2 1 4	2.225	49
0 2 0	2.165	63
4 2 2	1.694	27

Structure:
```
data_Er3Sn2Ru
_chemical_formula_sum 'Er12 Sn8 Ru4'
_cell_length_a 12.380
_cell_length_b 4.329
_cell_length_c 11.423
_cell_angle_alpha 90.00
_cell_angle_beta 90.00
_cell_angle_gamma 90.00
_space_group_name_H-M_alt 'P n m a'
_space_group_IT_number 62
loop_
_space_group_symop_operation_xyz
'x,y,z'
'-x,-y,-z'
'-x+1/2,-y,z+1/2'
'x+1/2,y,-z+1/2'
'x+1/2,-y+1/2,-z+1/2'
'-x+1/2,y+1/2,z+1/2'
'-x,y+1/2,-z'
'x,-y+1/2,z'
loop_
_atom_site_label
_atom_site_type_symbol
_atom_site_fract_x
_atom_site_fract_y
_atom_site_fract_z
_atom_site_occupancy
Er1 Er 0.056 0.250 0.127 1
Er2 Er 0.121 0.750 0.545 1
Er3 Er 0.247 0.250 0.783 1
Sn1 Sn 0.007 0.250 0.695 1
Sn2 Sn 0.188 0.750 0.992 1
Ru1 Ru 0.125 0.250 0.366 1
```

***

[3]
Simulated powder XRD pattern
Compound: Tb6Er2Ru
Radiation: copper Kα
Structure: a crystal structure in Alexandria, relaxed with PBE
Neutral-atom scattering factors, no anomalous dispersion.

Largest 12 diffraction maxima, sorted by position, 5 to 70 degrees two-theta:
(hkl)	d/Å	I (rel.)
1 1 -1	3.184	18
2 0 2	2.972	34
0 1 2	2.814	46
2 1 0	2.799	100
3 0 -1	2.769	21
1 1 3	2.179	12
0 2 0	1.845	13
3 1 -3	1.825	25
2 1 4	1.686	17
2 2 2	1.568	11
1 1 -5	1.562	10
1 2 -3	1.540	11

Structure:
```
data_Tb6Er2Ru
_chemical_formula_sum 'Tb6 Er2 Ru1'
_cell_length_a 8.610
_cell_length_b 3.691
_cell_length_c 8.710
_cell_angle_alpha 90.00
_cell_angle_beta 93.31
_cell_angle_gamma 90.00
_space_group_name_H-M_alt 'P 1 2/m 1'
_space_group_IT_number 10
loop_
_space_group_symop_operation_xyz
'x,y,z'
'-x,-y,-z'
'-x,y,-z'
'x,-y,z'
loop_
_atom_site_label
_atom_site_type_symbol
_atom_site_fract_x
_atom_site_fract_y
_atom_site_fract_z
_atom_site_occupancy
Tb1 Tb 0.035 0.000 0.198 1
Tb2 Tb 0.232 0.500 0.552 1
Tb3 Tb 0.445 0.000 0.279 1
Er1 Er 0.301 0.500 0.967 1
Ru1 Ru 0.000 0.000 0.500 1
```